No. 1
Gd4Ge3O13: computed powder diffraction line list (Cu Kα (weighted mean of Kα1 and Kα2)), based on a cell relaxed with GGA-PBE.
Peak positions follow from Bragg's law for the DFT cell and can differ from measured ones.

Principal peaks in the range 2θ = 15–90°, in order of rising 2θ:
Position (°2θ), intensity
27.37, 60
28.52, 91
29.26, 100
30.92, 81
31.36, 39
33.64, 43

```
Gd4Ge3O13
1.0
6.746 0.000 0.000
3.269 8.872 0.000
0.374 4.869 8.912
Gd Ge O
8 6 26
direct
0.196 0.149 0.010
0.238 0.560 0.725
0.283 0.344 0.494
0.295 0.893 0.799
0.705 0.107 0.201
0.717 0.656 0.506
0.762 0.440 0.275
0.804 0.851 0.990
0.217 0.742 0.341
0.225 0.045 0.391
0.252 0.480 0.103
0.748 0.520 0.897
0.775 0.955 0.609
0.783 0.258 0.659
0.052 0.926 0.182
0.053 0.851 0.670
0.086 0.619 0.478
0.116 0.428 0.264
0.166 0.707 0.005
0.220 0.409 0.973
0.251 0.265 0.752
0.292 0.079 0.537
0.327 0.807 0.458
0.360 0.093 0.233
0.425 0.909 0.001
0.433 0.573 0.340
0.475 0.633 0.812
0.525 0.367 0.188
0.567 0.427 0.660
0.575 0.091 0.999
0.640 0.907 0.767
0.673 0.193 0.542
0.708 0.921 0.463
0.749 0.735 0.248
0.780 0.591 0.027
0.834 0.293 0.995
0.884 0.572 0.736
0.914 0.381 0.522
0.947 0.149 0.330
0.948 0.074 0.818
```

***

No. 2
Gd2B4O9: computed powder diffraction line list (Cu Kα (weighted mean of Kα1 and Kα2)), based on a cell relaxed with GGA-PBE.
Peak positions follow from Bragg's law for the DFT cell and can differ from measured ones.

Principal peaks in the range 2θ = 15–90°, in order of rising 2θ:
Position (°2θ), intensity
17.40, 43
22.99, 43
28.42, 50
28.83, 43
28.92, 53
29.62, 100

```
Gd2B4O9
1.0
6.263 0.000 0.000
-1.407 6.393 0.000
-0.917 -1.819 7.285
Gd B O
4 8 18
direct
0.048 0.091 0.285
0.386 0.677 0.359
0.614 0.323 0.641
0.952 0.909 0.715
0.128 0.357 0.653
0.162 0.678 0.925
0.229 0.334 0.982
0.494 0.148 0.188
0.506 0.852 0.812
0.771 0.666 0.018
0.838 0.322 0.075
0.872 0.643 0.347
0.005 0.785 0.016
0.043 0.536 0.748
0.075 0.814 0.442
0.261 0.265 0.791
0.271 0.568 0.040
0.280 0.405 0.525
0.314 0.862 0.880
0.359 0.280 0.140
0.433 0.047 0.322
0.567 0.953 0.678
0.641 0.720 0.860
0.686 0.138 0.120
0.720 0.595 0.475
0.729 0.432 0.960
0.739 0.735 0.209
0.925 0.186 0.558
0.957 0.464 0.252
0.995 0.215 0.984
```

***

No. 3
GdCrB4: computed powder diffraction line list (Cu Kα (weighted mean of Kα1 and Kα2)), based on a cell relaxed with GGA-PBE.
Peak positions follow from Bragg's law for the DFT cell and can differ from measured ones.

Principal peaks in the range 2θ = 15–90°, in order of rising 2θ:
Position (°2θ), intensity
21.49, 30
25.69, 68
27.68, 39
31.07, 83
38.12, 42
40.74, 100

```
GdCrB4
1.0
5.950 0.000 0.000
0.000 11.504 0.000
0.000 0.000 3.468
Gd Cr B
4 4 16
direct
0.125 0.151 0.000
0.375 0.651 0.000
0.625 0.349 0.000
0.875 0.849 0.000
0.122 0.421 0.000
0.378 0.921 0.000
0.622 0.079 0.000
0.878 0.579 0.000
0.024 0.691 0.500
0.113 0.546 0.500
0.138 0.967 0.500
0.220 0.817 0.500
0.280 0.317 0.500
0.362 0.467 0.500
0.387 0.046 0.500
0.476 0.191 0.500
0.524 0.809 0.500
0.613 0.954 0.500
0.638 0.533 0.500
0.720 0.683 0.500
0.780 0.183 0.500
0.862 0.033 0.500
0.887 0.454 0.500
0.976 0.309 0.500
```

***

No. 4
Ti4P3: computed powder diffraction line list (Cu Kα (weighted mean of Kα1 and Kα2)), based on a cell relaxed with GGA-PBE.
Peak positions follow from Bragg's law for the DFT cell and can differ from measured ones.

Principal peaks in the range 2θ = 15–90°, in order of rising 2θ:
Position (°2θ), intensity
38.34, 100
45.72, 60
61.15, 15
63.93, 21
79.59, 18
84.58, 11

```
Ti4P3
1.0
-3.712 3.712 3.712
3.712 -3.712 3.712
3.712 3.712 -3.712
Ti P
8 6
direct
0.000 0.139 0.500
0.000 0.639 0.500
0.139 0.500 0.000
0.361 0.361 0.361
0.500 0.000 0.139
0.500 0.000 0.639
0.639 0.500 0.000
0.861 0.861 0.861
0.125 0.875 0.250
0.250 0.125 0.875
0.375 0.625 0.750
0.625 0.750 0.375
0.750 0.375 0.625
0.875 0.250 0.125
```

***

No. 5
Sr2CuOsO6: computed powder diffraction line list (Cu Kα (weighted mean of Kα1 and Kα2)), based on a cell relaxed with GGA-PBE.
Peak positions follow from Bragg's law for the DFT cell and can differ from measured ones.

Principal peaks in the range 2θ = 15–90°, in order of rising 2θ:
Position (°2θ), intensity
19.28, 32
31.12, 100
32.95, 48
47.30, 25
54.19, 23
57.71, 40

```
Sr2CuOsO6
1.0
-2.718 2.718 4.326
2.718 -2.718 4.326
2.718 2.718 -4.326
Sr Cu Os O
2 1 1 6
direct
0.250 0.750 0.500
0.750 0.250 0.500
0.000 0.000 0.000
0.500 0.500 0.000
0.200 0.688 0.888
0.274 0.274 0.000
0.312 0.200 0.512
0.688 0.800 0.488
0.726 0.726 0.000
0.800 0.312 0.112
```

***

No. 6
RbZrF5: computed powder diffraction line list (Cu Kα (weighted mean of Kα1 and Kα2)), based on a cell relaxed with GGA-PBE.
Peak positions follow from Bragg's law for the DFT cell and can differ from measured ones.

Principal peaks in the range 2θ = 15–90°, in order of rising 2θ:
Position (°2θ), intensity
25.52, 100
25.81, 90
26.17, 90
26.32, 85
26.61, 70
31.45, 50

```
RbZrF5
1.0
7.750 0.000 0.000
3.809 7.989 0.000
3.758 1.621 10.376
Rb Zr F
6 6 30
direct
0.216 0.006 0.266
0.244 0.656 0.572
0.276 0.324 0.920
0.724 0.676 0.080
0.756 0.344 0.428
0.784 0.994 0.734
0.218 0.530 0.244
0.239 0.833 0.932
0.266 0.159 0.581
0.734 0.841 0.419
0.761 0.167 0.068
0.782 0.470 0.756
0.074 0.733 0.359
0.088 0.055 0.034
0.105 0.382 0.698
0.134 0.630 0.057
0.156 0.342 0.218
0.166 0.017 0.527
0.178 0.371 0.439
0.186 0.747 0.804
0.189 0.049 0.775
0.315 0.739 0.121
0.433 0.510 0.319
0.455 0.920 0.904
0.470 0.221 0.612
0.492 0.096 0.400
0.492 0.386 0.115
0.508 0.614 0.885
0.508 0.904 0.600
0.530 0.779 0.388
0.545 0.080 0.096
0.567 0.490 0.681
0.685 0.261 0.879
0.811 0.951 0.225
0.814 0.253 0.196
0.822 0.629 0.561
0.834 0.983 0.473
0.844 0.658 0.782
0.866 0.370 0.943
0.895 0.618 0.302
0.912 0.945 0.966
0.926 0.267 0.641
```

***

No. 7
NdBRh3: computed powder diffraction line list (Cu Kα (weighted mean of Kα1 and Kα2)), based on a cell relaxed with GGA-PBE.
Peak positions follow from Bragg's law for the DFT cell and can differ from measured ones.

Principal peaks in the range 2θ = 15–90°, in order of rising 2θ:
Position (°2θ), intensity
29.63, 3
36.50, 100
42.40, 52
61.52, 34
73.70, 38
77.56, 11

```
NdBRh3
1.0
4.264 0.000 0.000
0.000 4.264 0.000
0.000 0.000 4.264
Nd B Rh
1 1 3
direct
0.000 0.000 0.000
0.500 0.500 0.500
0.000 0.500 0.500
0.500 0.000 0.500
0.500 0.500 0.000
```

***

Please write out number 2 again, unchanged.
Gd2B4O9: computed powder diffraction line list (Cu Kα (weighted mean of Kα1 and Kα2)), based on a cell relaxed with GGA-PBE.
Peak positions follow from Bragg's law for the DFT cell and can differ from measured ones.

Principal peaks in the range 2θ = 15–90°, in order of rising 2θ:
Position (°2θ), intensity
17.40, 43
22.99, 43
28.42, 50
28.83, 43
28.92, 53
29.62, 100

```
Gd2B4O9
1.0
6.263 0.000 0.000
-1.407 6.393 0.000
-0.917 -1.819 7.285
Gd B O
4 8 18
direct
0.048 0.091 0.285
0.386 0.677 0.359
0.614 0.323 0.641
0.952 0.909 0.715
0.128 0.357 0.653
0.162 0.678 0.925
0.229 0.334 0.982
0.494 0.148 0.188
0.506 0.852 0.812
0.771 0.666 0.018
0.838 0.322 0.075
0.872 0.643 0.347
0.005 0.785 0.016
0.043 0.536 0.748
0.075 0.814 0.442
0.261 0.265 0.791
0.271 0.568 0.040
0.280 0.405 0.525
0.314 0.862 0.880
0.359 0.280 0.140
0.433 0.047 0.322
0.567 0.953 0.678
0.641 0.720 0.860
0.686 0.138 0.120
0.720 0.595 0.475
0.729 0.432 0.960
0.739 0.735 0.209
0.925 0.186 0.558
0.957 0.464 0.252
0.995 0.215 0.984
```